Structure and computed powder XRD pattern of La2Ti2CrO9 (a GGA+U-relaxed structure; Cu Kα, 1.54184 Å).
Intensities are scaled so that the largest is 100.

Most intense lines, 2θ from 5° to 70°, sorted by position:
| 2theta | I (rel.) |
| --- | --- |
| 11.20 | 40 |
| 16.67 | 14 |
| 17.89 | 11 |
| 25.69 | 30 |
| 32.43 | 100 |
| 32.82 | 48 |
| 40.16 | 27 |
| 45.94 | 18 |
| 47.10 | 38 |
| 57.60 | 20 |
| 58.33 | 29 |
| 67.90 | 20 |

Structure:
a = 5.4635 Å, b = 5.4522 Å, c = 23.7055 Å
α = 90.00°, β = 90.03°, γ = 90.00°
Positions (direct):
La 0.2426 0.0000 0.1667
La 0.2457 0.0141 0.3361
La 0.2495 0.0128 0.6639
La 0.2499 0.0188 0.9986
La 0.7501 0.5188 0.0014
La 0.7505 0.5128 0.3361
La 0.7543 0.5141 0.6639
La 0.7574 0.5000 0.8333
Ti 0.2487 0.5121 0.4240
Ti 0.2491 0.5116 0.5763
Ti 0.2507 0.5086 0.0877
Ti 0.2506 0.5087 0.7528
Ti 0.7494 0.0087 0.2472
Ti 0.7493 0.0086 0.9123
Ti 0.7509 0.0116 0.4237
Ti 0.7513 0.0121 0.5760
Cr 0.2504 0.5072 0.2472
Cr 0.2496 0.5095 0.9151
Cr 0.7496 0.0072 0.7528
Cr 0.7504 0.0095 0.0849
O 0.0012 0.2597 0.5900
O 0.0005 0.7609 0.5901
O 0.0016 0.2536 0.7601
O 0.0048 0.2541 0.9138
O 0.0319 0.2339 0.2414
O 0.0333 0.2314 0.0869
O 0.2017 0.5069 0.9984
O 0.2080 0.5077 0.3263
O 0.2130 0.5075 0.6728
O 0.2744 0.5116 0.5000
O 0.2914 0.5129 0.1647
O 0.2959 0.5144 0.8382
O 0.4774 0.7806 0.2549
O 0.4831 0.7770 0.0709
O 0.4862 0.7655 0.9304
O 0.4898 0.7724 0.7438
O 0.4988 0.7612 0.4017
O 0.4994 0.7621 0.5983
O 0.5012 0.2612 0.5983
O 0.5006 0.2621 0.4017
O 0.5102 0.2724 0.2562
O 0.5138 0.2655 0.0696
O 0.5169 0.2770 0.9291
O 0.5226 0.2806 0.7451
O 0.7041 0.0144 0.1618
O 0.7086 0.0129 0.8353
O 0.7256 0.0116 0.5000
O 0.7870 0.0075 0.3272
O 0.7920 0.0077 0.6737
O 0.7983 0.0069 0.0016
O 0.9667 0.7314 0.9131
O 0.9681 0.7339 0.7586
O 0.9952 0.7541 0.0862
O 0.9984 0.7536 0.2399
O 0.9995 0.2609 0.4099
O 0.9988 0.7597 0.4100

Structure and computed powder XRD pattern of NiSO9 (a GGA+U-relaxed structure; Cu Kα, 1.54184 Å).
Intensities are scaled so that the largest is 100.

Most intense lines, 2θ from 5° to 70°, sorted by position:
| 2theta | I (rel.) |
| --- | --- |
| 15.65 | 94 |
| 17.69 | 41 |
| 18.40 | 100 |
| 22.36 | 24 |
| 24.17 | 13 |
| 29.44 | 43 |
| 30.28 | 11 |
| 32.79 | 21 |
| 34.02 | 28 |
| 34.69 | 11 |
| 37.31 | 14 |
| 40.16 | 20 |

Structure:
a = 5.4789 Å, b = 5.9211 Å, c = 6.1696 Å
α = 89.23°, β = 66.62°, γ = 85.61°
Positions (direct):
Ni 0.0000 0.0000 0.0000
S 0.1829 0.4883 0.9058
O 0.1185 0.2871 0.8053
O 0.1211 0.0148 0.2651
O 0.3194 0.6480 0.6865
O 0.3449 0.8393 0.8268
O 0.5619 0.3322 0.1580
O 0.6679 0.1577 0.2266
O 0.6845 0.5823 0.2156
O 0.8573 0.6662 0.0052
O 0.9485 0.9876 0.4716

Structure and computed powder XRD pattern of Sm2MnNiO6 (a GGA+U-relaxed structure; Cu Kα, 1.54184 Å).
Intensities are scaled so that the largest is 100.

Most intense lines, 2θ from 5° to 70°, sorted by position:
| 2theta | I (rel.) |
| --- | --- |
| 22.88 | 30 |
| 25.69 | 38 |
| 31.77 | 38 |
| 32.74 | 100 |
| 32.84 | 100 |
| 33.37 | 50 |
| 33.90 | 26 |
| 46.74 | 38 |
| 47.37 | 29 |
| 48.31 | 24 |
| 53.02 | 34 |
| 59.35 | 33 |

Structure:
a = 5.3705 Å, b = 5.6332 Å, c = 9.3505 Å
α = 90.00°, β = 124.81°, γ = 90.00°
Positions (direct):
Sm 0.2327 0.0642 0.2491
Sm 0.2327 0.4358 0.7491
Sm 0.7673 0.5642 0.2509
Sm 0.7673 0.9358 0.7509
Mn 0.5000 0.0000 0.0000
Mn 0.5000 0.5000 0.5000
Ni 0.0000 0.0000 0.5000
Ni 0.0000 0.5000 0.0000
O 0.1609 0.1910 0.9520
O 0.1609 0.3090 0.4520
O 0.2600 0.7125 0.9478
O 0.2600 0.7875 0.4478
O 0.3555 0.0291 0.7589
O 0.3555 0.4709 0.2589
O 0.6445 0.5291 0.7411
O 0.6445 0.9709 0.2411
O 0.7400 0.2125 0.5522
O 0.7400 0.2875 0.0522
O 0.8391 0.6910 0.5480
O 0.8391 0.8090 0.0480

Structure and computed powder XRD pattern of Ba2Fe3O8 (a GGA+U-relaxed structure; Cu Kα, 1.54184 Å).
Intensities are scaled so that the largest is 100.

Most intense lines, 2θ from 5° to 70°, sorted by position:
| 2theta | I (rel.) |
| --- | --- |
| 7.34 | 72 |
| 14.71 | 23 |
| 23.86 | 15 |
| 27.14 | 18 |
| 31.90 | 100 |
| 32.28 | 41 |
| 39.50 | 15 |
| 45.18 | 16 |
| 46.30 | 33 |
| 56.61 | 17 |
| 57.33 | 37 |
| 66.69 | 18 |

Structure:
a = 3.9215 Å, b = 3.9215 Å, c = 12.0424 Å
α = 90.00°, β = 90.00°, γ = 90.00°
Positions (direct):
Ba 0.0000 0.0000 0.1744
Ba 0.0000 0.0000 0.8256
Fe 0.5000 0.5000 0.0000
Fe 0.5000 0.5000 0.3381
Fe 0.5000 0.5000 0.6619
O 0.0000 0.5000 0.0000
O 0.0000 0.5000 0.3507
O 0.0000 0.5000 0.6493
O 0.5000 0.0000 0.0000
O 0.5000 0.0000 0.3507
O 0.5000 0.0000 0.6493
O 0.5000 0.5000 0.1735
O 0.5000 0.5000 0.8265